# 1
# LiWCl6
Computed powder X-ray diffraction pattern, Cu Kα, 1.54184 Å. Input: DFT lattice parameters and positions (PBE).

Peak list (6 most intense, 2θ from 10° to 80°, by intensity)
2theta, d/Å, I/Imax
16.7, 5.307, 100
18.6, 4.766, 72
14.2, 6.256, 64
31.4, 2.845, 60
40.4, 2.235, 43
24.9, 3.579, 27

Structure:
```
data_LiWCl6
_symmetry_space_group_name_H-M 'R 3'
_symmetry_Int_Tables_number 146
_symmetry_space_group_name_Hall 'R 3'
_cell_length_a 12.7782
_cell_length_b 12.7782
_cell_length_c 18.7694
_cell_angle_alpha 90.00
_cell_angle_beta 90.00
_cell_angle_gamma 120.00
loop_
_atom_site_label
_atom_site_type_symbol
_atom_site_fract_x
_atom_site_fract_y
_atom_site_fract_z
Li1 Li 0.0000 0.0000 0.0000
Li2 Li 0.0005 0.5004 0.3333
W1 W 0.0000 0.0000 0.6659
W2 W 0.1692 0.3388 0.9999
Cl1 Cl 0.0063 0.1532 0.7383
Cl2 Cl 0.0070 0.6529 0.7390
Cl3 Cl 0.0074 0.8536 0.5935
Cl4 Cl 0.0086 0.3549 0.5939
Cl5 Cl 0.0108 0.1765 0.0707
Cl6 Cl 0.0107 0.8339 0.9295
Cl7 Cl 0.1642 0.4766 0.0740
Cl8 Cl 0.1660 0.6886 0.9258
```

***

# 2
# Li3YCl6
Computed powder X-ray diffraction pattern, Cu Kα, 1.54184 Å. Input: DFT lattice parameters and positions (PBE).

Peak list (6 most intense, 2θ from 10° to 80°, by intensity)
2theta, d/Å, I/Imax
15.9, 5.588, 100
29.3, 3.046, 57
30.1, 2.971, 37
31.3, 2.854, 35
18.9, 4.706, 32
46.7, 1.944, 31

Structure:
```
data_Li3YCl6
_symmetry_space_group_name_H-M 'P 1 21/c 1'
_symmetry_Int_Tables_number 14
_symmetry_space_group_name_Hall '-P 2ybc'
_cell_length_a 6.6358
_cell_length_b 6.6736
_cell_length_c 12.2378
_cell_angle_alpha 90.00
_cell_angle_beta 122.83
_cell_angle_gamma 90.00
loop_
_atom_site_label
_atom_site_type_symbol
_atom_site_fract_x
_atom_site_fract_y
_atom_site_fract_z
Li1 Li 0.0000 0.0000 0.0000
Li2 Li 0.2176 0.0171 0.7334
Y1 Y 0.5000 0.0000 0.5000
Cl1 Cl 0.1285 0.1128 0.2654
Cl2 Cl 0.2160 0.6797 0.0603
Cl3 Cl 0.4314 0.1687 0.0935
```

***

# 3
# LiY2Cl
Computed powder X-ray diffraction pattern, Cu Kα, 1.54184 Å. Input: DFT lattice parameters and positions (PBE).

Peak list (6 most intense, 2θ from 10° to 80°, by intensity)
2theta, d/Å, I/Imax
32.9, 2.725, 100
28.0, 3.192, 43
37.3, 2.411, 37
64.5, 1.445, 26
48.3, 1.886, 19
55.6, 1.652, 18

Structure:
```
data_LiY2Cl
_symmetry_space_group_name_H-M 'P 4 m m'
_symmetry_Int_Tables_number 99
_symmetry_space_group_name_Hall 'P 4 -2'
_cell_length_a 3.4100
_cell_length_b 3.4100
_cell_length_c 9.0682
_cell_angle_alpha 90.00
_cell_angle_beta 90.00
_cell_angle_gamma 90.00
loop_
_atom_site_label
_atom_site_type_symbol
_atom_site_fract_x
_atom_site_fract_y
_atom_site_fract_z
Li1 Li 0.0000 0.0000 0.0000
Y1 Y 0.0000 0.0000 0.5811
Y2 Y 0.5000 0.5000 0.2960
Cl1 Cl 0.5000 0.5000 0.8036
```